This entry pairs a crystal structure of CsMoPO6 with its simulated X-ray diffraction stick pattern. Radiation: a wavelength of 1.5418 Å. Structure: a PBE+U-relaxed structure.

Top 10 peaks for 10° ≤ 2θ ≤ 80°, by angle:
2θ (°)  Rel. int.
20.94  60
21.76  37
25.42  49
27.47  65
30.38  100
35.31  29
42.75  12
48.72  15
49.53  13
67.78  13

Cell and atoms:
a b c (Å): 11.1987 12.9952 16.3396
angles (deg): 90.00 90.00 90.00
Space group Fddd (No. 70, origin choice 2)
Inequivalent atoms, fractional coordinates:
Cs  0.0677  0.3750  0.3750 x16
Mo  0.1250  0.3413  0.6250 x16
P  0.1250  0.1250  0.4948 x16
O  0.0301  0.0736  0.4371 x32
O  0.0623  0.3235  0.1945 x32
O  0.0668  0.0396  0.7039 x32